This entry pairs a crystal structure of Li3FeF6 with its computed powder X-ray diffraction pattern. Radiation: Cu Kα X-rays. Structure: the PBE+U geometry in Alexandria.
No peak broadening, texture or thermal motion is included.

Atomic structure:
Lattice parameters (Å, degrees): 8.6120 8.6120 10.2423 90.00 90.00 120.00
Space group R-3 (No. 148, hexagonal axes)
Symmetry-distinct sites (fractional):
Li 0.0403 0.2670 0.2120 x18
Fe 0.0000 0.0000 0.0000 x3
Fe 0.0000 0.0000 0.5000 x3
F 0.0174 0.1863 0.8821 x18
F 0.0256 0.2013 0.3963 x18

Most intense lines, 2θ = 5–70°, sorted by position:
2θ = 20.63°, d = 4.306 Å, I = 89, hkl 1 1 0
2θ = 21.04°, d = 4.222 Å, I = 100, hkl 0 1 2
2θ = 29.63°, d = 3.015 Å, I = 58, hkl 2 0 2
2θ = 36.38°, d = 2.470 Å, I = 70, hkl 1 2 2
2θ = 47.40°, d = 1.918 Å, I = 42, hkl 3 1 2
2θ = 48.00°, d = 1.895 Å, I = 59, hkl 2 1 4
2θ = 56.55°, d = 1.628 Å, I = 33, hkl 1 4 0
2θ = 56.72°, d = 1.623 Å, I = 12, hkl 2 3 2
2θ = 57.25°, d = 1.609 Å, I = 17, hkl 1 3 4
2θ = 58.13°, d = 1.587 Å, I = 13, hkl 2 -1 6